1.
# LiHfTl
Theoretical XRD peak list, a wavelength of 1.5418 Å. Input: a crystal structure in Alexandria, relaxed with PBE.
No peak broadening, texture or thermal motion is included.

Atomic structure:
```
data_LiHfTl
_cell_length_a 3.233
_cell_length_b 4.191
_cell_length_c 9.389
_cell_angle_alpha 90.00
_cell_angle_beta 93.75
_cell_angle_gamma 90.00
_symmetry_space_group_name_H-M 'P 1 21/m 1'
_symmetry_Int_Tables_number 11
_symmetry_space_group_name_Hall '-P 2yb'
loop_
_atom_site_label
_atom_site_type_symbol
_atom_site_fract_x
_atom_site_fract_y
_atom_site_fract_z
Li1 Li 0.230 0.250 0.080
Hf1 Hf 0.235 0.250 0.417
Tl1 Tl 0.283 0.250 0.769
```

Main lines, in order of falling intensity (10 to 90 degrees two-theta):
| two_theta | Rel. int. | h k l |
| --- | --- | --- |
| 35.87 | 100 | 0 1 3 |
| 35.10 | 90 | 1 1 0 |
| 28.59 | 53 | 0 1 2 |
| 38.80 | 35 | 1 0 -3 |
| 43.17 | 26 | 0 2 0 |
| 41.54 | 25 | 1 0 3 |
| 59.42 | 21 | 1 2 -3 |
| 23.25 | 21 | 0 1 1 |
| 34.78 | 19 | 1 0 2 |
| 74.40 | 16 | 0 3 3 |

2.
# Na5B7C3
Theoretical XRD peak list, a wavelength of 1.5418 Å. Input: a crystal structure in Alexandria, relaxed with PBE.
No peak broadening, texture or thermal motion is included.

Atomic structure:
```
data_Na5B7C3
_cell_length_a 4.943
_cell_length_b 8.603
_cell_length_c 7.634
_cell_angle_alpha 90.00
_cell_angle_beta 106.39
_cell_angle_gamma 90.00
_symmetry_space_group_name_H-M 'P 1 21/m 1'
_symmetry_Int_Tables_number 11
_symmetry_space_group_name_Hall '-P 2yb'
loop_
_atom_site_label
_atom_site_type_symbol
_atom_site_fract_x
_atom_site_fract_y
_atom_site_fract_z
Na1 Na 0.000 0.000 0.000
Na2 Na 0.202 0.002 0.400
Na3 Na 0.395 0.000 0.798
B1 B 0.070 0.750 0.794
B2 B 0.137 0.250 0.599
B3 B 0.280 0.750 0.214
B4 B 0.290 0.250 0.206
B5 B 0.297 0.250 0.975
B6 B 0.337 0.750 0.988
B7 B 0.445 0.750 0.590
C1 C 0.055 0.250 0.794
C2 C 0.114 0.750 0.588
C3 C 0.472 0.250 0.602
```

Main lines, in order of falling intensity (10 to 90 degrees two-theta):
| two_theta | Rel. int. | h k l |
| --- | --- | --- |
| 42.17 | 100 | 1 2 -3 |
| 40.92 | 48 | 1 2 2 |
| 42.01 | 38 | 0 4 0 |
| 36.36 | 16 | 2 0 -1 |
| 76.87 | 13 | 1 6 -3 |
| 34.93 | 12 | 1 0 2 |
| 56.74 | 9 | 2 4 -1 |
| 63.51 | 9 | 0 0 5 |
| 63.63 | 9 | 3 0 1 |
| 79.10 | 8 | 0 4 5 |

3.
# PuZn4Pd5
Theoretical XRD peak list, a wavelength of 1.5418 Å. Input: a crystal structure in Alexandria, relaxed with PBE.
No peak broadening, texture or thermal motion is included.

Atomic structure:
```
data_PuZn4Pd5
_cell_length_a 2.938
_cell_length_b 2.938
_cell_length_c 18.056
_cell_angle_alpha 90.00
_cell_angle_beta 90.00
_cell_angle_gamma 90.00
_symmetry_space_group_name_H-M 'P 4/m m m'
_symmetry_Int_Tables_number 123
_symmetry_space_group_name_Hall '-P 4 2'
loop_
_atom_site_label
_atom_site_type_symbol
_atom_site_fract_x
_atom_site_fract_y
_atom_site_fract_z
Pu1 Pu 0.000 0.000 0.000
Zn1 Zn 0.000 0.000 0.219
Zn2 Zn 0.000 0.000 0.407
Pd1 Pd 0.500 0.500 0.128
Pd2 Pd 0.500 0.500 0.314
Pd3 Pd 0.500 0.500 0.500
```

Main lines, in order of falling intensity (10 to 90 degrees two-theta):
| two_theta | Rel. int. | h k l |
| --- | --- | --- |
| 39.54 | 100 | 1 0 5 |
| 43.56 | 49 | 1 1 0 |
| 77.26 | 27 | 2 1 5 |
| 36.49 | 18 | 1 0 4 |
| 63.30 | 16 | 2 0 0 |
| 33.95 | 11 | 1 0 3 |
| 32.03 | 9 | 1 0 2 |
| 68.90 | 8 | 1 1 10 |
| 30.83 | 8 | 1 0 1 |
| 29.69 | 7 | 0 0 6 |

4.
# LiLa2PtRh
Theoretical XRD peak list, a wavelength of 1.5418 Å. Input: a crystal structure in Alexandria, relaxed with PBE.
No peak broadening, texture or thermal motion is included.

Atomic structure:
```
data_LiLa2PtRh
_cell_length_a 4.148
_cell_length_b 4.148
_cell_length_c 13.712
_cell_angle_alpha 90.00
_cell_angle_beta 90.00
_cell_angle_gamma 90.00
_symmetry_space_group_name_H-M 'P 4/n m m'
_symmetry_Int_Tables_number 129
loop_
_symmetry_equiv_pos_as_xyz
'x,y,z'
'-x,-y,-z'
'-y+1/2,x,z'
'y+1/2,-x,-z'
'-x+1/2,-y+1/2,z'
'x+1/2,y+1/2,-z'
'y,-x+1/2,z'
'-y,x+1/2,-z'
'x+1/2,-y,-z'
'-x+1/2,y,z'
'-y,-x,-z'
'y,x,z'
'-x,y+1/2,-z'
'x,-y+1/2,z'
'y+1/2,x+1/2,-z'
'-y+1/2,-x+1/2,z'
loop_
_atom_site_label
_atom_site_type_symbol
_atom_site_fract_x
_atom_site_fract_y
_atom_site_fract_z
Li1 Li 0.250 0.750 0.000
La1 La 0.250 0.250 0.192
La2 La 0.250 0.250 0.613
Pt1 Pt 0.250 0.250 0.861
Rh1 Rh 0.250 0.250 0.392
```

Main lines, in order of falling intensity (10 to 90 degrees two-theta):
| two_theta | Rel. int. | h k l |
| --- | --- | --- |
| 30.48 | 100 | 1 1 0 |
| 40.48 | 46 | 1 1 4 |
| 43.65 | 39 | 2 0 0 |
| 25.99 | 35 | 0 0 4 |
| 45.29 | 29 | 1 1 5 |
| 51.52 | 26 | 2 0 4 |
| 29.07 | 23 | 1 0 3 |
| 72.00 | 17 | 3 1 0 |
| 78.00 | 13 | 3 1 4 |
| 63.43 | 13 | 2 2 0 |

5.
# Pr2Y6Cd
Theoretical XRD peak list, a wavelength of 1.5418 Å. Input: a crystal structure in Alexandria, relaxed with PBE.
No peak broadening, texture or thermal motion is included.

Atomic structure:
```
data_Pr2Y6Cd
_cell_length_a 17.688
_cell_length_b 9.569
_cell_length_c 3.543
_cell_angle_alpha 90.00
_cell_angle_beta 90.06
_cell_angle_gamma 90.00
_symmetry_space_group_name_H-M 'C 1 2/m 1'
_symmetry_Int_Tables_number 12
_symmetry_space_group_name_Hall '-C 2y'
loop_
_atom_site_label
_atom_site_type_symbol
_atom_site_fract_x
_atom_site_fract_y
_atom_site_fract_z
Pr1 Pr 0.181 0.000 0.499
Y1 Y 0.000 0.206 0.500
Y2 Y 0.161 0.324 0.000
Cd1 Cd 0.000 0.500 0.000
```

Main lines, in order of falling intensity (10 to 90 degrees two-theta):
| two_theta | Rel. int. | h k l |
| --- | --- | --- |
| 31.90 | 100 | 3 3 0 |
| 33.05 | 70 | 2 2 -1 |
| 30.32 | 59 | 6 0 0 |
| 27.31 | 54 | 1 1 1 |
| 37.57 | 39 | 4 2 1 |
| 37.12 | 35 | 5 1 -1 |
| 60.95 | 23 | 6 0 -2 |
| 52.39 | 22 | 8 2 -1 |
| 30.89 | 21 | 3 1 1 |
| 54.87 | 17 | 9 3 0 |

6.
# Al4Sb
Theoretical XRD peak list, a wavelength of 1.5418 Å. Input: a crystal structure in Alexandria, relaxed with PBE.
No peak broadening, texture or thermal motion is included.

Atomic structure:
```
data_Al4Sb
_cell_length_a 6.943
_cell_length_b 6.943
_cell_length_c 3.983
_cell_angle_alpha 90.00
_cell_angle_beta 90.00
_cell_angle_gamma 90.00
_symmetry_space_group_name_H-M 'I 4/m'
_symmetry_Int_Tables_number 87
_symmetry_space_group_name_Hall '-I 4'
loop_
_atom_site_label
_atom_site_type_symbol
_atom_site_fract_x
_atom_site_fract_y
_atom_site_fract_z
Al1 Al 0.098 0.315 0.000
Sb1 Sb 0.000 0.000 0.500
```

Main lines, in order of falling intensity (10 to 90 degrees two-theta):
| two_theta | Rel. int. | h k l |
| --- | --- | --- |
| 36.69 | 100 | 2 1 1 |
| 25.79 | 38 | 1 0 1 |
| 41.11 | 36 | 1 3 0 |
| 18.07 | 33 | 1 1 0 |
| 72.02 | 23 | 5 0 1 |
| 25.66 | 20 | 2 0 0 |
| 63.02 | 20 | 1 3 2 |
| 59.57 | 19 | 4 2 0 |
| 52.79 | 11 | 2 3 1 |
| 45.55 | 11 | 0 0 2 |

7.
# Y2Zn3Pt
Theoretical XRD peak list, a wavelength of 1.5418 Å. Input: a crystal structure in Alexandria, relaxed with PBE.
No peak broadening, texture or thermal motion is included.

Atomic structure:
```
data_Y2Zn3Pt
_cell_length_a 3.609
_cell_length_b 4.427
_cell_length_c 7.675
_cell_angle_alpha 90.00
_cell_angle_beta 90.00
_cell_angle_gamma 90.00
_symmetry_space_group_name_H-M 'P m m 2'
_symmetry_Int_Tables_number 25
_symmetry_space_group_name_Hall 'P 2 -2'
loop_
_atom_site_label
_atom_site_type_symbol
_atom_site_fract_x
_atom_site_fract_y
_atom_site_fract_z
Y1 Y 0.000 0.000 0.000
Y2 Y 0.000 0.500 0.459
Zn1 Zn 0.500 0.000 0.653
Zn2 Zn 0.500 0.500 0.135
Zn3 Zn 0.500 0.500 0.808
Pt1 Pt 0.500 0.000 0.314
```

Main lines, in order of falling intensity (10 to 90 degrees two-theta):
| two_theta | Rel. int. | h k l |
| --- | --- | --- |
| 34.11 | 100 | 1 1 1 |
| 40.74 | 65 | 0 2 0 |
| 66.88 | 29 | 2 2 0 |
| 54.15 | 25 | 1 2 2 |
| 11.53 | 24 | 0 0 1 |
| 69.93 | 22 | 1 3 1 |
| 48.21 | 13 | 1 1 3 |
| 24.67 | 12 | 1 0 0 |
| 50.58 | 12 | 2 0 0 |
| 74.16 | 10 | 0 3 3 |

8.
# Mg2ZrAu3
Theoretical XRD peak list, a wavelength of 1.5418 Å. Input: a crystal structure in Alexandria, relaxed with PBE.
No peak broadening, texture or thermal motion is included.

Atomic structure:
```
data_Mg2ZrAu3
_cell_length_a 3.280
_cell_length_b 3.280
_cell_length_c 10.441
_cell_angle_alpha 90.00
_cell_angle_beta 90.00
_cell_angle_gamma 90.00
_symmetry_space_group_name_H-M 'P 4/m m m'
_symmetry_Int_Tables_number 123
_symmetry_space_group_name_Hall '-P 4 2'
loop_
_atom_site_label
_atom_site_type_symbol
_atom_site_fract_x
_atom_site_fract_y
_atom_site_fract_z
Mg1 Mg 0.000 0.000 0.160
Zr1 Zr 0.000 0.000 0.500
Au1 Au 0.500 0.500 0.000
Au2 Au 0.500 0.500 0.321
```

Main lines, in order of falling intensity (10 to 90 degrees two-theta):
| two_theta | Rel. int. | h k l |
| --- | --- | --- |
| 37.69 | 100 | 1 0 3 |
| 38.83 | 48 | 1 1 0 |
| 27.19 | 44 | 1 0 0 |
| 69.55 | 33 | 2 1 3 |
| 25.60 | 24 | 0 0 3 |
| 47.09 | 20 | 1 1 3 |
| 67.26 | 17 | 1 1 6 |
| 56.08 | 16 | 2 0 0 |
| 80.47 | 10 | 2 0 6 |
| 89.65 | 9 | 1 0 9 |